For BaMnGaF7, a GGA+U-relaxed structure gives the calculated XRD peak list in this record (λ = 1.5418 Å (Cu Kα)).
Intensities are scaled so that the largest is 100.

Principal peaks in the range 10° ≤ 2θ ≤ 90°, low angle first:
h k l, 2θ (°), I/Imax
0 0 4, 23.88, 28
3 1 0, 25.26, 100
4 0 -2, 27.87, 33
1 1 -4, 29.79, 32
1 1 4, 29.98, 30
0 2 0, 33.41, 22
6 0 2, 40.65, 23
0 2 4, 41.48, 21
5 1 -4, 43.41, 21
3 1 -6, 44.33, 20

Cell and atoms:
a = 14.033 Å, b = 5.364 Å, c = 14.906 Å
α = 90.00°, β = 91.04°, γ = 90.00°
Space group C2/c (No. 15)
Unique sites:
1 Ba 0.189 0.047 0.122
2 Mn 0.000 0.457 0.750
3 Mn 0.000 0.500 0.000
4 Ga 0.119 0.003 0.874
5 F 0.005 0.114 0.658
6 F 0.057 0.416 0.128
7 F 0.082 0.171 0.481
8 F 0.118 0.279 0.296
9 F 0.130 0.299 0.953
10 F 0.165 0.213 0.778
11 F 0.248 0.062 0.409